The following is a simulated X-ray diffraction stick pattern of LiNiPCO7. It was derived from DFT lattice parameters and positions (PBE+U), using Cu Ka.
Neutral-atom scattering factors, no anomalous dispersion.

Most intense lines, 2θ = 5–70°, sorted by position:
hkl 0 0 1, 8.575 Å, 2θ 10.32, I = 100; hkl 0 1 1, 5.092 Å, 2θ 17.42, I = 56; hkl 1 0 -1, 4.534 Å, 2θ 19.58, I = 38; hkl 1 0 1, 4.245 Å, 2θ 20.93, I = 42; hkl 1 1 0, 3.970 Å, 2θ 22.39, I = 22; hkl 1 1 1, 3.525 Å, 2θ 25.26, I = 19; hkl 1 0 -2, 3.410 Å, 2θ 26.14, I = 37; hkl 0 2 0, 3.165 Å, 2θ 28.20, I = 75; hkl 2 0 0, 2.548 Å, 2θ 35.22, I = 19; hkl 1 1 3, 2.258 Å, 2θ 39.93, I = 16

Cell and atoms:
```
LiNiPCO7
1.0
5.1128 0.0000 0.0000
0.0000 6.3283 0.0000
-0.6439 0.0000 8.5746
Li Ni P C O
2 2 2 2 14
Direct
0.2200 0.0000 0.2769
0.7800 0.5000 0.7231
0.2085 0.7274 0.8392
0.7915 0.2274 0.1608
0.2778 0.2257 0.9293
0.7222 0.7257 0.0707
0.2696 0.7267 0.5601
0.7304 0.2267 0.4399
0.0407 0.7192 0.6162
0.1497 0.2076 0.0851
0.1675 0.4121 0.8279
0.2136 0.0364 0.8193
0.3011 0.7572 0.4189
0.4210 0.7466 0.0372
0.4641 0.7069 0.6661
0.5359 0.2069 0.3339
0.5790 0.2466 0.9628
0.6989 0.2572 0.5811
0.7864 0.5364 0.1807
0.8325 0.9121 0.1721
0.8503 0.7076 0.9149
0.9593 0.2192 0.3838
```